(1)
Structure and calculated X-ray powder pattern of AcNd6Sm (a crystal structure in Alexandria, relaxed with PBE; copper Kα).

Structural model:
Lattice parameters (Å, degrees): 5.2438 5.2438 10.5048 90.00 90.00 90.00
Fractional positions:
Ac: 0.0000 0.0000 0.0000
Nd: 0.0000 0.5000 0.2564
Nd: 0.0000 0.5000 0.7436
Nd: 0.5000 0.0000 0.2564
Nd: 0.5000 0.0000 0.7436
Nd: 0.5000 0.5000 0.0000
Nd: 0.5000 0.5000 0.5000
Sm: 0.0000 0.0000 0.5000

Top 8 peaks for 10 to 90 degrees two-theta, sorted by position:
| Position (°2θ) | I (rel.) |
| --- | --- |
| 29.49 | 100.0 |
| 34.18 | 50.8 |
| 49.11 | 36.6 |
| 58.33 | 43.7 |
| 61.19 | 12.6 |
| 79.66 | 17.6 |
| 82.13 | 10.8 |
| 82.22 | 5.6 |


(2)
Structure and calculated X-ray powder pattern of Ac4Nd3Sm2 (a crystal structure in Alexandria, relaxed with PBE; copper Kα).

Structural model:
Lattice parameters (Å, degrees): 3.8179 3.8179 28.3010 90.00 90.00 120.00
Fractional positions:
Ac: 0.0000 0.0000 0.0000
Ac: 0.0000 0.0000 0.2202
Ac: 0.3333 0.6667 0.3391
Ac: 0.3333 0.6667 0.5604
Nd: 0.0000 0.0000 0.4487
Nd: 0.3333 0.6667 0.1085
Nd: 0.3333 0.6667 0.7728
Sm: 0.0000 0.0000 0.6686
Sm: 0.0000 0.0000 0.8727

Top 8 peaks for 10 to 90 degrees two-theta, sorted by position:
| Position (°2θ) | I (rel.) |
| --- | --- |
| 26.97 | 52.7 |
| 28.38 | 53.4 |
| 29.83 | 92.2 |
| 31.33 | 100.0 |
| 39.55 | 35.1 |
| 47.64 | 44.4 |
| 53.10 | 23.4 |
| 56.39 | 48.2 |


(3)
Structure and calculated X-ray powder pattern of Ac2Nd5Sm2 (a crystal structure in Alexandria, relaxed with PBE; copper Kα).

Structural model:
Lattice parameters (Å, degrees): 9.4045 9.4045 10.2342 103.40 103.40 22.56
Fractional positions:
Ac: 0.0137 0.0137 0.1833
Ac: 0.9863 0.9863 0.8167
Nd: 0.1625 0.1625 0.7058
Nd: 0.3369 0.3369 0.9749
Nd: 0.5000 0.5000 0.5000
Nd: 0.6631 0.6631 0.0251
Nd: 0.8375 0.8375 0.2942
Sm: 0.3282 0.3282 0.5955
Sm: 0.6718 0.6718 0.4045

Top 8 peaks for 10 to 90 degrees two-theta, sorted by position:
| Position (°2θ) | I (rel.) |
| --- | --- |
| 26.71 | 44.8 |
| 28.49 | 31.0 |
| 29.49 | 85.4 |
| 29.91 | 100.0 |
| 30.90 | 74.3 |
| 31.34 | 85.7 |
| 34.57 | 46.9 |
| 36.57 | 32.5 |